# 1
The following is a calculated X-ray powder pattern of AcDyIrCl. It was derived from a cell relaxed with PBE, using copper Kα.
Peak positions follow from Bragg's law for the DFT cell and can differ from measured ones.

Top 12 peaks for 10 to 90 degrees two-theta, low angle first:
Position (°2θ)	I/Imax
11.37	73.3
25.85	36.2
31.33	100.0
36.69	16.2
39.72	12.3
43.45	42.3
45.06	16.6
46.32	31.5
54.54	21.2
72.17	18.5
76.38	13.1
81.80	12.4

```
AcDyIrCl
1.0
4.166 0.000 0.000
-2.083 3.607 0.000
0.000 0.000 23.350
Ac Dy Ir Cl
3 3 3 3
direct
0.000 0.000 0.000
0.333 0.667 0.667
0.667 0.333 0.333
0.000 0.000 0.202
0.333 0.667 0.869
0.667 0.333 0.535
0.000 0.000 0.595
0.333 0.667 0.262
0.667 0.333 0.928
0.000 0.000 0.778
0.333 0.667 0.445
0.667 0.333 0.111
```

=====

# 2
The following is a calculated X-ray powder pattern of AcCl2F6. It was derived from a cell relaxed with PBE, using copper Kα.
Peak positions follow from Bragg's law for the DFT cell and can differ from measured ones.

Top 12 peaks for 10 to 90 degrees two-theta, low angle first:
Position (°2θ)	I/Imax
12.82	82.8
16.48	70.4
17.02	100.0
22.54	54.2
24.46	65.1
25.61	86.4
26.93	39.1
27.44	44.0
33.80	65.1
36.32	36.5
36.44	42.7
39.12	25.3

```
AcCl2F6
1.0
5.864 -4.610 0.000
5.864 4.610 0.000
-3.061 0.000 5.929
Ac Cl F
2 4 12
direct
0.127 0.873 0.750
0.873 0.127 0.250
0.322 0.440 0.048
0.440 0.322 0.548
0.560 0.678 0.452
0.678 0.560 0.952
0.086 0.157 0.636
0.150 0.646 0.018
0.157 0.086 0.136
0.222 0.507 0.572
0.354 0.850 0.482
0.493 0.778 0.928
0.507 0.222 0.072
0.646 0.150 0.518
0.778 0.493 0.428
0.843 0.914 0.864
0.850 0.354 0.982
0.914 0.843 0.364
```

=====

# 3
The following is a calculated X-ray powder pattern of AcClF4. It was derived from a cell relaxed with PBE, using copper Kα.
Peak positions follow from Bragg's law for the DFT cell and can differ from measured ones.

Top 12 peaks for 10 to 90 degrees two-theta, low angle first:
Position (°2θ)	I/Imax
13.34	100.0
21.95	44.8
22.12	31.2
26.75	58.1
29.48	35.9
30.85	25.9
33.75	14.3
38.17	26.9
39.61	33.8
40.47	16.6
44.45	18.8
45.32	22.5

```
AcClF4
1.0
4.318 -5.797 0.000
4.318 5.797 0.000
-1.509 0.000 4.073
Ac Cl F
2 2 8
direct
0.132 0.868 0.750
0.868 0.132 0.250
0.341 0.659 0.250
0.659 0.341 0.750
0.077 0.218 0.843
0.173 0.513 0.459
0.218 0.077 0.343
0.487 0.827 0.041
0.513 0.173 0.959
0.782 0.923 0.657
0.827 0.487 0.541
0.923 0.782 0.157
```

=====

What did the first record say?
The following is a calculated X-ray powder pattern of AcDyIrCl. It was derived from a cell relaxed with PBE, using copper Kα.
Peak positions follow from Bragg's law for the DFT cell and can differ from measured ones.

Top 12 peaks for 10 to 90 degrees two-theta, low angle first:
Position (°2θ)	I/Imax
11.37	73.3
25.85	36.2
31.33	100.0
36.69	16.2
39.72	12.3
43.45	42.3
45.06	16.6
46.32	31.5
54.54	21.2
72.17	18.5
76.38	13.1
81.80	12.4

```
AcDyIrCl
1.0
4.166 0.000 0.000
-2.083 3.607 0.000
0.000 0.000 23.350
Ac Dy Ir Cl
3 3 3 3
direct
0.000 0.000 0.000
0.333 0.667 0.667
0.667 0.333 0.333
0.000 0.000 0.202
0.333 0.667 0.869
0.667 0.333 0.535
0.000 0.000 0.595
0.333 0.667 0.262
0.667 0.333 0.928
0.000 0.000 0.778
0.333 0.667 0.445
0.667 0.333 0.111
```